Al2O3: theoretical powder XRD pattern (Cu Ka), based on DFT lattice parameters and positions (PBE).

Main lines, sorted by position (5° ≤ 2θ ≤ 70°):
d [Å], Position (°2θ), intensity
2.492, 36.03, 34.4
2.481, 36.20, 100.0
2.124, 42.56, 34.7
1.772, 51.56, 21.3
1.737, 52.68, 43.9
1.535, 60.31, 20.7
1.444, 64.51, 27.7
1.437, 64.89, 32.2
1.431, 65.22, 20.2
1.410, 66.29, 58.5

Cell and atoms:
```
data_Al2O3
_chemical_formula_sum 'Al8 O12'
_symmetry_space_group_name_H-M 'P 1'
_symmetry_Int_Tables_number 1
_cell_length_a 7.0899
_cell_length_b 4.8462
_cell_length_c 4.9849
_cell_angle_alpha 90.00
_cell_angle_beta 90.00
_cell_angle_gamma 90.00
loop_
_symmetry_equiv_pos_as_xyz
'x,y,z'
loop_
_atom_site_label
_atom_site_type_symbol
_atom_site_fract_x
_atom_site_fract_y
_atom_site_fract_z
_atom_site_occupancy
Al1 Al 0.1097 0.2478 0.0306 1
Al2 Al 0.1097 0.7522 0.5306 1
Al3 Al 0.3903 0.2522 0.5306 1
Al4 Al 0.3903 0.7478 0.0306 1
Al5 Al 0.6097 0.2522 0.9694 1
Al6 Al 0.6097 0.7478 0.4694 1
Al7 Al 0.8903 0.2478 0.4694 1
Al8 Al 0.8903 0.7522 0.9694 1
O1 O 0.0000 0.0497 0.7500 1
O2 O 0.0000 0.9503 0.2500 1
O3 O 0.1541 0.3933 0.3975 1
O4 O 0.1541 0.6067 0.8975 1
O5 O 0.3459 0.1067 0.8975 1
O6 O 0.3459 0.8933 0.3975 1
O7 O 0.5000 0.4503 0.2500 1
O8 O 0.5000 0.5497 0.7500 1
O9 O 0.6541 0.1067 0.6025 1
O10 O 0.6541 0.8933 0.1025 1
O11 O 0.8459 0.3933 0.1025 1
O12 O 0.8459 0.6067 0.6025 1
```

---

K2NaIO6: theoretical powder XRD pattern (Cu Ka), based on DFT lattice parameters and positions (PBE).

Main lines, sorted by position (5° ≤ 2θ ≤ 70°):
d [Å], Position (°2θ), intensity
4.940, 17.96, 81.0
4.278, 20.76, 32.1
3.025, 29.53, 100.0
2.580, 34.77, 28.4
2.139, 42.25, 44.7
1.747, 52.38, 35.4
1.647, 55.83, 15.1
1.513, 61.28, 24.5
1.446, 64.42, 13.3
1.353, 69.48, 18.2

Cell and atoms:
```
data_K2NaIO6
_chemical_formula_sum 'K2 Na1 I1 O6'
_symmetry_space_group_name_H-M 'P 1'
_symmetry_Int_Tables_number 1
_cell_length_a 6.0504
_cell_length_b 6.0504
_cell_length_c 6.0504
_cell_angle_alpha 60.00
_cell_angle_beta 60.00
_cell_angle_gamma 60.00
loop_
_symmetry_equiv_pos_as_xyz
'x,y,z'
loop_
_atom_site_label
_atom_site_type_symbol
_atom_site_fract_x
_atom_site_fract_y
_atom_site_fract_z
_atom_site_occupancy
K1 K 0.2500 0.2500 0.2500 1
K2 K 0.7500 0.7500 0.7500 1
Na1 Na 0.0000 0.0000 0.0000 1
I1 I 0.5000 0.5000 0.5000 1
O1 O 0.2798 0.2798 0.7202 1
O2 O 0.2798 0.7202 0.2798 1
O3 O 0.2798 0.7202 0.7202 1
O4 O 0.7202 0.2798 0.2798 1
O5 O 0.7202 0.2798 0.7202 1
O6 O 0.7202 0.7202 0.2798 1
```